No. 1
For MgTi2O5, the GGA-PBE geometry in the Materials Project gives the calculated powder X-ray diffraction pattern in this record (Cu Kα (weighted mean of Kα1 and Kα2)).
No peak broadening, texture or thermal motion is included.

Cell and atoms:
```
MgTi2O5
1.0
1.888 -4.984 0.000
1.888 4.984 0.000
0.000 0.000 9.949
Mg Ti O
2 4 10
direct
0.142 0.858 0.500
0.858 0.142 0.000
0.135 0.865 0.878
0.186 0.814 0.182
0.814 0.186 0.682
0.865 0.135 0.378
0.041 0.959 0.313
0.050 0.950 0.052
0.254 0.746 0.698
0.295 0.705 0.014
0.317 0.683 0.355
0.683 0.317 0.855
0.705 0.295 0.514
0.746 0.254 0.198
0.950 0.050 0.552
0.959 0.041 0.813
```

Most intense lines, 2θ = 10–80°, sorted by position:
- d = 4.983 Å, 17.80 deg, I 54
- d = 4.456 Å, 19.93 deg, I 18
- d = 3.530 Å, 25.23 deg, I 100
- d = 3.328 Å, 26.79 deg, I 23
- d = 2.761 Å, 32.43 deg, I 70
- d = 2.227 Å, 40.51 deg, I 27
- d = 1.992 Å, 45.53 deg, I 36
- d = 1.888 Å, 48.20 deg, I 35
- d = 1.761 Å, 51.92 deg, I 19
- d = 1.557 Å, 59.34 deg, I 44

---

No. 2
For Na2ZrP2O11, the GGA-PBE geometry in the Materials Project gives the calculated powder X-ray diffraction pattern in this record (Cu Kα (weighted mean of Kα1 and Kα2)).
No peak broadening, texture or thermal motion is included.

Cell and atoms:
```
Na2ZrP2O11
1.0
5.357 0.000 0.000
0.176 8.900 0.000
0.358 3.536 10.368
Na Zr P O
4 2 4 22
direct
0.000 0.000 0.000
0.011 0.348 0.582
0.437 0.716 0.852
0.473 0.596 0.513
0.506 0.664 0.175
0.961 0.153 0.257
0.009 0.551 0.027
0.448 0.281 0.396
0.481 0.081 0.062
0.992 0.726 0.369
0.011 0.392 0.139
0.011 0.619 0.508
0.099 0.543 0.895
0.195 0.674 0.052
0.209 0.188 0.388
0.245 0.078 0.151
0.247 0.726 0.296
0.411 0.153 0.922
0.436 0.328 0.519
0.458 0.430 0.273
0.505 0.881 0.424
0.571 0.904 0.080
0.601 0.582 0.718
0.648 0.453 0.821
0.687 0.183 0.388
0.705 0.154 0.109
0.741 0.627 0.022
0.789 0.661 0.301
0.811 0.050 0.713
0.867 0.393 0.821
0.924 0.903 0.353
0.973 0.946 0.756
```

Most intense lines, 2θ = 10–80°, sorted by position:
- d = 4.497 Å, 19.74 deg, I 39
- d = 4.372 Å, 20.31 deg, I 37
- d = 4.212 Å, 21.09 deg, I 73
- d = 3.808 Å, 23.36 deg, I 100
- d = 3.679 Å, 24.19 deg, I 84
- d = 3.526 Å, 25.26 deg, I 97
- d = 3.056 Å, 29.23 deg, I 34
- d = 2.942 Å, 30.38 deg, I 42
- d = 2.677 Å, 33.48 deg, I 41
- d = 2.613 Å, 34.32 deg, I 64

---

No. 3
For LiH3C2O5, the GGA-PBE geometry in the Materials Project gives the calculated powder X-ray diffraction pattern in this record (Cu Kα (weighted mean of Kα1 and Kα2)).
No peak broadening, texture or thermal motion is included.

Cell and atoms:
```
LiH3C2O5
1.0
3.606 0.000 0.000
1.114 5.070 0.000
0.542 1.070 6.043
Li H C O
1 3 2 5
direct
0.000 0.000 0.000
0.380 0.362 0.050
0.435 0.319 0.804
0.703 0.219 0.432
0.062 0.862 0.505
0.281 0.626 0.393
0.078 0.863 0.703
0.245 0.641 0.190
0.436 0.219 0.958
0.483 0.433 0.520
0.868 0.052 0.360
```

Most intense lines, 2θ = 10–80°, sorted by position:
- d = 6.043 Å, 14.66 deg, I 45
- d = 3.557 Å, 25.04 deg, I 14
- d = 3.518 Å, 25.32 deg, I 19
- d = 3.196 Å, 27.91 deg, I 100
- d = 3.027 Å, 29.51 deg, I 22
- d = 2.659 Å, 33.71 deg, I 18
- d = 2.465 Å, 36.46 deg, I 52
- d = 2.406 Å, 37.38 deg, I 12
- d = 2.350 Å, 38.30 deg, I 8
- d = 1.992 Å, 45.53 deg, I 10